No. 1
Structure and simulated PXRD pattern of La8C8Cl5 (a DFT-relaxed cell (PBE, the Materials Project); Cu Kα (λ = 1.5418 Å)).

Crystal structure
abc: 7.8238 17.1787 6.9216
angles: 90.00 104.32 90.00
Fractional coordinates of all 42 atoms:
La (0.0862, 0.1943, 0.1254)
La (0.0862, 0.3057, 0.6254)
La (0.1566, 0.0690, 0.6240)
La (0.1566, 0.4310, 0.1240)
La (0.2249, 0.5505, 0.6181)
La (0.2249, 0.9495, 0.1181)
La (0.2943, 0.6744, 0.1077)
La (0.2943, 0.8256, 0.6077)
La (0.7057, 0.1744, 0.3923)
La (0.7057, 0.3256, 0.8923)
La (0.7751, 0.0505, 0.8819)
La (0.7751, 0.4495, 0.3819)
La (0.8434, 0.5690, 0.8760)
La (0.8434, 0.9310, 0.3760)
La (0.9138, 0.6943, 0.3746)
La (0.9138, 0.8057, 0.8746)
C (0.0224, 0.0378, 0.2216)
C (0.0224, 0.4622, 0.7216)
C (0.0412, 0.6599, 0.7672)
C (0.0412, 0.8401, 0.2672)
C (0.0928, 0.5862, 0.2219)
C (0.0928, 0.9138, 0.7219)
C (0.1456, 0.7156, 0.7184)
C (0.1456, 0.7844, 0.2184)
C (0.8544, 0.2156, 0.7816)
C (0.8544, 0.2844, 0.2816)
C (0.9072, 0.0862, 0.2781)
C (0.9072, 0.4138, 0.7781)
C (0.9588, 0.1599, 0.7328)
C (0.9588, 0.3401, 0.2328)
C (0.9776, 0.5378, 0.2784)
C (0.9776, 0.9622, 0.7784)
Cl (0.3606, 0.2025, 0.5255)
Cl (0.3606, 0.2975, 0.0255)
Cl (0.4158, 0.0967, 0.0238)
Cl (0.4158, 0.4033, 0.5238)
Cl (0.5000, 0.0000, 0.5000)
Cl (0.5000, 0.5000, 0.0000)
Cl (0.5842, 0.5967, 0.4762)
Cl (0.5842, 0.9033, 0.9762)
Cl (0.6394, 0.7025, 0.9745)
Cl (0.6394, 0.7975, 0.4745)

Main lines, low angle first (2θ from 10° to 80°):
d (Å)	intensity
7.581	322
3.617	552
3.393	296
3.112	1000
2.954	210
2.820	494
2.811	383
2.147	177
2.031	229
1.983	197

No. 2
Structure and simulated PXRD pattern of La2CN3Cl (a DFT-relaxed cell (PBE, the Materials Project); Cu Kα (λ = 1.5418 Å)).

Crystal structure
abc: 8.2914 8.2914 3.9593
angles: 90.00 90.00 108.69
Fractional coordinates of all 14 atoms:
La (0.1378, 0.8622, 0.0000)
La (0.2873, 0.2873, 0.5000)
La (0.7127, 0.7127, 0.5000)
La (0.8622, 0.1378, 0.0000)
C (0.0000, 0.5000, 0.5000)
C (0.5000, 0.0000, 0.5000)
N (0.0053, 0.6506, 0.5000)
N (0.1557, 0.1557, 0.0000)
N (0.3494, 0.9947, 0.5000)
N (0.6506, 0.0053, 0.5000)
N (0.8443, 0.8443, 0.0000)
N (0.9947, 0.3494, 0.5000)
Cl (0.3781, 0.6219, 0.0000)
Cl (0.6219, 0.3781, 0.0000)

Main lines, low angle first (2θ from 10° to 80°):
d (Å)	intensity
6.737	319
4.073	340
3.927	293
3.535	261
3.063	1000
2.764	676
2.566	521
2.184	371
1.759	270
1.609	274